Entry 1:
Diffraction record for CeYIn2. The powder X-ray diffraction pattern is calculated, not measured: it uses a DFT-relaxed cell (GGA-PBE, the Materials Project) and copper Kα.

Peak list (9 most intense, 10 to 90 degrees two-theta, sorted by position)
two_theta	Rel. int.	hkl
20.13	2	1 1 1
33.17	100	2 2 0
39.11	1	3 1 1
47.61	18	4 0 0
52.19	1	3 3 1
59.26	36	4 2 2
69.62	11	4 4 0
79.32	15	6 2 0
88.72	4	4 4 4

Lattice parameters (Å, degrees): 7.6396 7.6396 7.6396 90.00 90.00 90.00
Space group Fm-3m (No. 225)
Inequivalent atoms, fractional coordinates:
Ce1 0.0000 0.0000 0.0000 x4
Y1 0.0000 0.0000 0.5000 x4
In1 0.2500 0.2500 0.2500 x8


Entry 2:
Diffraction record for CeZnIn. The powder X-ray diffraction pattern is calculated, not measured: it uses a DFT-relaxed cell (GGA-PBE, the Materials Project) and copper Kα.

Peak list (12 most intense, 10 to 90 degrees two-theta, sorted by position)
two_theta	Rel. int.	hkl
24.65	6	1 0 1
32.51	100	1 0 2
37.61	66	1 1 0
49.44	10	0 0 4
50.55	28	2 0 2
63.74	27	1 1 4
64.68	27	2 1 2
67.88	11	3 0 0
80.29	7	2 2 0
81.73	7	1 0 6
88.46	11	3 0 4
89.31	11	3 1 2

Lattice parameters (Å, degrees): 4.7831 4.7831 7.3741 90.00 90.00 120.00
Space group P6_3/mmc (No. 194)
Inequivalent atoms, fractional coordinates:
Ce1 0.0000 0.0000 0.0000 x2
Zn1 0.3333 0.6667 0.2500 x2
In1 0.3333 0.6667 0.7500 x2


Entry 3:
Diffraction record for Ce5Ir4. The powder X-ray diffraction pattern is calculated, not measured: it uses a DFT-relaxed cell (GGA-PBE, the Materials Project) and copper Kα.

Peak list (12 most intense, 10 to 90 degrees two-theta, sorted by position)
two_theta	Rel. int.	hkl
32.08	100	1 3 2
32.46	89	2 3 1
33.76	35	0 4 2
34.42	18	2 1 2
34.61	29	1 5 1
35.96	40	1 4 2
36.28	54	0 6 0
38.07	43	1 1 3
38.45	71	3 0 1
38.90	19	2 5 0
46.06	19	1 7 1
49.56	21	2 7 0

Lattice parameters (Å, degrees): 7.3845 14.8606 7.5931 90.00 90.00 90.00
Space group Pnma (No. 62)
Inequivalent atoms, fractional coordinates:
Ce1 0.0107 0.0926 0.1789 x8
Ce2 0.1591 0.1211 0.6660 x8
Ce3 0.1794 0.7500 0.5214 x4
Ir1 0.0396 0.7500 0.1207 x4
Ir2 0.1859 0.5385 0.4628 x8
Ir3 0.1921 0.2500 0.3601 x4


Entry 4:
Diffraction record for CeIr2. The powder X-ray diffraction pattern is calculated, not measured: it uses a DFT-relaxed cell (GGA-PBE, the Materials Project) and copper Kα.

Peak list (12 most intense, 10 to 90 degrees two-theta, sorted by position)
two_theta	Rel. int.	hkl
20.16	17	1 1 1
33.22	18	2 2 0
39.17	100	3 1 1
40.98	51	2 2 2
47.69	10	4 0 0
52.27	4	3 3 1
59.35	7	4 2 2
63.35	33	5 1 1
69.73	30	4 4 0
73.43	3	5 3 1
83.01	12	5 3 3
84.19	20	6 2 2

Lattice parameters (Å, degrees): 7.6286 7.6286 7.6286 90.00 90.00 90.00
Space group Fd-3m (No. 227, origin choice 2)
Inequivalent atoms, fractional coordinates:
Ce1 0.1250 0.1250 0.1250 x8
Ir1 0.0000 0.0000 0.5000 x16


Entry 5:
Diffraction record for Sr2CeIrO6. The powder X-ray diffraction pattern is calculated, not measured: it uses a DFT-relaxed cell (GGA-PBE, the Materials Project) and copper Kα.

Peak list (12 most intense, 10 to 90 degrees two-theta, sorted by position)
two_theta	Rel. int.	hkl
21.32	37	1 1 -1
30.22	100	1 1 1
30.45	99	1 1 -3
43.39	35	2 2 -2
43.51	18	0 0 4
53.61	12	1 3 1
53.76	21	2 0 2
53.86	29	3 1 -1
54.25	22	3 1 -5
63.36	15	2 2 -6
71.75	10	4 2 -4
88.26	12	3 1 -9

Lattice parameters (Å, degrees): 5.8701 5.9273 10.1397 90.00 124.85 90.00
Space group P2_1/c (No. 14)
Inequivalent atoms, fractional coordinates:
Sr1 0.2388 0.0373 0.2486 x4
Ce1 0.5000 0.0000 0.0000 x2
Ir1 0.0000 0.0000 0.5000 x2
O1 0.1591 0.2261 0.9600 x4
O2 0.2331 0.7025 0.9602 x4
O3 0.3112 0.0182 0.7364 x4


Entry 6:
Diffraction record for CeIrOs. The powder X-ray diffraction pattern is calculated, not measured: it uses a DFT-relaxed cell (GGA-PBE, the Materials Project) and copper Kα.

Peak list (12 most intense, 10 to 90 degrees two-theta, sorted by position)
two_theta	Rel. int.	hkl
19.70	26	0 1 1
20.62	24	1 0 1
32.90	37	1 1 2
37.77	54	0 1 3
38.29	52	1 0 3
38.99	100	1 2 1
40.02	79	0 2 2
40.47	88	2 1 1
41.95	70	2 0 2
63.68	23	2 3 1
65.43	22	3 2 1
68.99	60	2 2 4

Lattice parameters (Å, degrees): 5.1285 5.4748 7.9349 90.00 90.00 90.00
Space group Imma (No. 74)
Inequivalent atoms, fractional coordinates:
Ce1 0.0000 0.2500 0.1244 x4
Ir1 0.0000 0.0000 0.5000 x4
Os1 0.2500 0.2500 0.7500 x4


Entry 7:
Diffraction record for CePIr. The powder X-ray diffraction pattern is calculated, not measured: it uses a DFT-relaxed cell (GGA-PBE, the Materials Project) and copper Kα.

Peak list (12 most intense, 10 to 90 degrees two-theta, sorted by position)
two_theta	Rel. int.	hkl
22.91	15	1 0 1
24.69	13	0 0 4
28.90	42	1 0 3
33.81	100	1 1 2
38.37	50	1 0 5
44.98	36	2 0 0
49.68	27	1 0 7
54.35	15	2 1 3
60.57	27	2 1 5
65.49	12	2 2 0
69.25	18	2 1 7
75.78	20	3 1 2

Lattice parameters (Å, degrees): 4.0310 4.0310 14.4232 90.00 90.00 90.00
Space group I4_1md (No. 109)
Inequivalent atoms, fractional coordinates:
Ce1 0.0000 0.0000 0.0000 x4
P1 0.0000 0.0000 0.4193 x4
Ir1 0.0000 0.0000 0.5843 x4


Entry 8:
Diffraction record for CeIrPt. The powder X-ray diffraction pattern is calculated, not measured: it uses a DFT-relaxed cell (GGA-PBE, the Materials Project) and copper Kα.

Peak list (12 most intense, 10 to 90 degrees two-theta, sorted by position)
two_theta	Rel. int.	hkl
19.88	18	0 1 1
20.15	17	1 0 1
32.95	24	1 1 2
38.69	100	0 1 3
38.88	34	1 0 3
39.11	67	2 1 1
40.39	53	0 2 2
40.95	50	2 0 2
62.64	26	0 1 5
63.15	16	3 2 1
69.11	40	2 2 4
82.96	21	2 4 2

Lattice parameters (Å, degrees): 5.3756 5.4835 7.7007 90.00 90.00 90.00
Space group Imma (No. 74)
Inequivalent atoms, fractional coordinates:
Ce1 0.0000 0.2500 0.1267 x4
Ir1 0.0000 0.0000 0.5000 x4
Pt1 0.2500 0.2500 0.7500 x4